# 1
This entry pairs a crystal structure of Cs5Na5Tl with its computed PXRD pattern. Radiation: a wavelength of 1.5418 Å. Structure: a structure optimized by DFT (PBE).
Neutral-atom scattering factors, no anomalous dispersion.

Atomic structure:
```
11
Lattice="-3.5455 4.6953 10.9320 3.5455 -4.6953 10.9320 3.5455 4.6953 -10.9320" Properties=species:S:1:pos:R:3 pbc="T T T"
Cs 0.0000 0.0000 0.0000
Cs 3.5455 0.0000 3.3061
Cs 0.0000 0.0000 6.4894
Cs 0.0000 0.0000 15.3747
Cs 0.0000 4.6953 7.6259
Na 3.5455 -1.7479 8.1223
Na 0.0000 2.9473 2.8097
Na 0.0000 0.0000 10.9320
Na 3.5455 1.7479 8.1223
Na 0.0000 6.4432 2.8097
Tl 0.0000 4.6953 0.0000
```

Most intense lines, 10 to 90 degrees two-theta, sorted by position:
| d (Å) | Position (°2θ) | Rel. int. |
| --- | --- | --- |
| 5.082 | 17.4 | 90.1 |
| 4.695 | 18.9 | 52.8 |
| 3.931 | 22.6 | 19.7 |
| 3.644 | 24.4 | 17.8 |
| 3.545 | 25.1 | 39.1 |
| 3.449 | 25.8 | 100.0 |
| 2.878 | 31.1 | 20.0 |
| 2.829 | 31.6 | 29.6 |
| 2.542 | 35.3 | 19.1 |
| 2.235 | 40.4 | 19.6 |
| 2.131 | 42.4 | 23.2 |
| 2.028 | 44.7 | 22.5 |


# 2
This entry pairs a crystal structure of CsNa7Tl5 with its computed PXRD pattern. Radiation: a wavelength of 1.5418 Å. Structure: a structure optimized by DFT (PBE).
Neutral-atom scattering factors, no anomalous dispersion.

Atomic structure:
```
13
Lattice="-3.3415 5.6747 5.7502 3.3415 -5.6747 5.7502 3.3415 5.6747 -5.7502" Properties=species:S:1:pos:R:3 pbc="T T T"
Cs 0.0000 0.0000 0.0000
Na 3.3415 2.4548 -0.0228
Na 3.3415 0.0000 2.7000
Na 0.0000 0.0000 3.9979
Na 0.0000 3.9341 0.1246
Na 0.0000 7.4153 0.1246
Na 0.0000 0.0000 7.6525
Na 0.0000 3.2199 5.7274
Tl 1.7056 -2.8430 2.9177
Tl 4.9774 -2.8430 2.9177
Tl 1.7056 2.8430 2.9177
Tl 4.9774 2.8430 2.9177
Tl 0.0000 5.6747 3.1075
```

Most intense lines, 10 to 90 degrees two-theta, sorted by position:
| d (Å) | Position (°2θ) | Rel. int. |
| --- | --- | --- |
| 8.078 | 11.0 | 24.5 |
| 5.753 | 15.4 | 94.5 |
| 5.675 | 15.6 | 26.3 |
| 4.069 | 21.8 | 20.3 |
| 4.041 | 22.0 | 57.3 |
| 2.889 | 31.0 | 31.1 |
| 2.878 | 31.1 | 100.0 |
| 2.837 | 31.5 | 34.3 |
| 2.575 | 34.8 | 71.2 |
| 2.545 | 35.3 | 31.2 |
| 2.034 | 44.5 | 41.4 |
| 2.020 | 44.9 | 22.0 |


# 3
This entry pairs a crystal structure of CsNa8Tl4 with its computed PXRD pattern. Radiation: a wavelength of 1.5418 Å. Structure: a structure optimized by DFT (PBE).
Neutral-atom scattering factors, no anomalous dispersion.

Atomic structure:
```
13
Lattice="-5.7861 5.7861 3.3472 5.7861 -5.7861 3.3472 5.7861 5.7861 -3.3472" Properties=species:S:1:pos:R:3 pbc="T T T"
Cs 0.0000 0.0000 0.0000
Na 3.9681 0.0000 0.0000
Na 7.6041 0.0000 0.0000
Na 5.7861 3.1337 0.0000
Na 0.0000 3.9681 0.0000
Na 3.1337 5.7861 0.0000
Na 2.6524 0.0000 3.3472
Na 0.0000 7.6041 0.0000
Na 0.0000 2.6524 3.3472
Tl 2.8931 2.8931 -1.6736
Tl 2.8931 -2.8931 1.6736
Tl -2.8931 2.8931 1.6736
Tl 2.8931 2.8931 1.6736
```

Most intense lines, 10 to 90 degrees two-theta, sorted by position:
| d (Å) | Position (°2θ) | Rel. int. |
| --- | --- | --- |
| 5.787 | 15.3 | 70.8 |
| 4.092 | 21.7 | 52.7 |
| 2.896 | 30.9 | 100.0 |
| 2.589 | 34.6 | 55.6 |
| 2.189 | 41.2 | 10.8 |
| 2.047 | 44.3 | 48.9 |
| 1.830 | 49.8 | 15.8 |
| 1.672 | 54.9 | 17.7 |
| 1.606 | 57.4 | 17.1 |
| 1.448 | 64.4 | 23.8 |
| 1.294 | 73.1 | 14.2 |
| 1.094 | 89.6 | 13.8 |


# 4
This entry pairs a crystal structure of CsNaTl with its computed PXRD pattern. Radiation: a wavelength of 1.5418 Å. Structure: a structure optimized by DFT (PBE).
Neutral-atom scattering factors, no anomalous dispersion.

Atomic structure:
```
12
Lattice="6.9394 0.0000 0.0000 0.0000 7.4440 0.0000 0.0000 0.0000 10.1898" Properties=species:S:1:pos:R:3 pbc="T T T"
Cs 0.0000 1.8610 1.2170
Cs 0.0000 5.5830 8.9727
Cs 3.4697 1.8610 3.8778
Cs 3.4697 5.5830 6.3119
Na 0.0000 0.0000 5.0949
Na 0.0000 3.7220 5.0949
Na 3.4697 0.0000 0.0000
Na 3.4697 3.7220 0.0000
Tl 1.7349 1.8610 7.6423
Tl 1.7349 5.5830 2.5474
Tl 5.2046 1.8610 7.6423
Tl 5.2046 5.5830 2.5474
```

Most intense lines, 10 to 90 degrees two-theta, sorted by position:
| d (Å) | Position (°2θ) | Rel. int. |
| --- | --- | --- |
| 6.011 | 14.7 | 29.1 |
| 5.095 | 17.4 | 22.9 |
| 3.722 | 23.9 | 37.8 |
| 3.596 | 24.8 | 25.5 |
| 3.122 | 28.6 | 15.1 |
| 3.090 | 28.9 | 45.8 |
| 3.005 | 29.7 | 100.0 |
| 2.868 | 31.2 | 22.6 |
| 2.272 | 39.7 | 15.0 |
| 2.053 | 44.1 | 14.9 |
| 1.980 | 45.8 | 24.0 |
| 1.798 | 50.8 | 26.5 |


# 5
This entry pairs a crystal structure of Cs3Np3NbSe8 with its computed PXRD pattern. Radiation: a wavelength of 1.5418 Å. Structure: a structure optimized by DFT (PBE).
Neutral-atom scattering factors, no anomalous dispersion.

Atomic structure:
```
15
Lattice="4.1203 2.3789 8.6005 -4.1203 2.3789 8.6005 0.0000 -4.7578 8.6005" Properties=species:S:1:pos:R:3 pbc="T T T"
Cs -2.0602 -1.1894 8.6005
Cs -2.0602 1.1894 17.2009
Cs 0.0000 2.3789 8.6004
Np -4.1203 0.0000 12.9007
Np -2.0602 1.1894 4.3002
Np 2.0602 1.1894 4.3002
Nb 0.0000 0.0000 12.9007
Se 0.0000 0.0000 5.9260
Se -1.9602 -1.1317 14.4382
Se 0.0000 -2.2635 11.3632
Se -1.9602 1.1317 11.3632
Se 1.9602 -1.1318 14.4382
Se 0.0000 2.2635 14.4382
Se 1.9602 1.1318 11.3632
Se 0.0000 0.0000 19.8754
```

Most intense lines, 10 to 90 degrees two-theta, sorted by position:
| d (Å) | Position (°2θ) | Rel. int. |
| --- | --- | --- |
| 8.600 | 10.3 | 51.0 |
| 6.245 | 14.2 | 11.2 |
| 4.300 | 20.7 | 14.3 |
| 3.439 | 25.9 | 13.9 |
| 3.122 | 28.6 | 100.0 |
| 2.564 | 35.0 | 17.5 |
| 2.393 | 37.6 | 34.1 |
| 2.091 | 43.3 | 13.4 |
| 2.060 | 43.9 | 34.4 |
| 1.960 | 46.3 | 11.1 |
| 1.720 | 53.3 | 19.1 |
| 1.320 | 71.5 | 18.7 |


# 6
This entry pairs a crystal structure of CsNb4O8 with its computed PXRD pattern. Radiation: a wavelength of 1.5418 Å. Structure: a structure optimized by DFT (PBE).
Neutral-atom scattering factors, no anomalous dispersion.

Atomic structure:
```
13
Lattice="-5.4910 5.4910 1.5064 5.4910 -5.4910 1.5064 5.4910 5.4910 -1.5064" Properties=species:S:1:pos:R:3 pbc="T T T"
Cs 0.0000 0.0000 0.0000
Nb 7.3257 1.6778 0.0000
Nb 1.6778 3.6562 0.0000
Nb 3.8132 1.8347 1.5064
Nb -1.8347 3.8132 1.5064
O 3.6744 0.3419 0.0000
O 3.7589 3.3752 0.0000
O 5.1491 -1.8166 1.5064
O 2.1157 -1.7320 1.5064
O 3.3752 7.2230 0.0000
O 0.3419 7.3076 0.0000
O 1.7320 2.1157 1.5064
O 1.8166 5.1491 1.5064
```

Most intense lines, 10 to 90 degrees two-theta, sorted by position:
| d (Å) | Position (°2θ) | Rel. int. |
| --- | --- | --- |
| 3.883 | 22.9 | 21.4 |
| 3.473 | 25.7 | 100.0 |
| 2.568 | 34.9 | 65.4 |
| 2.456 | 36.6 | 18.2 |
| 2.326 | 38.7 | 20.5 |
| 2.142 | 42.2 | 10.3 |
| 1.996 | 45.5 | 32.9 |
| 1.830 | 49.8 | 24.3 |
| 1.689 | 54.3 | 31.9 |
| 1.491 | 62.3 | 21.8 |
| 1.382 | 67.8 | 12.5 |
| 1.163 | 83.0 | 10.1 |


# 7
This entry pairs a crystal structure of Cs3NbO4 with its computed PXRD pattern. Radiation: a wavelength of 1.5418 Å. Structure: a structure optimized by DFT (PBE).
Neutral-atom scattering factors, no anomalous dispersion.

Atomic structure:
```
32
Lattice="9.0085 0.0000 0.0000 0.0000 9.3686 0.0000 0.0000 0.0000 9.9276" Properties=species:S:1:pos:R:3 pbc="T T T"
Cs 0.2573 0.1355 2.2969
Cs 0.2573 4.5488 2.2969
Cs 1.7855 7.0265 4.9867
Cs 2.7188 2.3422 0.0230
Cs 4.2470 4.8198 7.2607
Cs 4.2470 9.2332 7.2607
Cs 4.7615 0.1355 2.6669
Cs 4.7615 4.5488 2.6669
Cs 6.2897 7.0265 9.9046
Cs 7.2230 2.3422 4.9408
Cs 8.7512 4.8198 7.6307
Cs 8.7512 9.2332 7.6307
Nb 2.0356 7.0265 9.7902
Nb 2.4686 2.3422 4.8265
Nb 6.5399 7.0265 5.1011
Nb 6.9729 2.3422 0.1373
O 0.2279 7.0265 0.4055
O 1.6402 0.7793 5.4719
O 1.6402 3.9050 5.4719
O 2.1102 7.0265 7.8965
O 2.3940 2.3422 2.9328
O 2.8640 5.4636 0.5081
O 2.8640 8.5893 0.5081
O 4.2764 2.3422 5.3693
O 4.7321 7.0265 4.5583
O 6.1445 0.7793 9.4194
O 6.1445 3.9050 9.4194
O 6.6145 7.0265 6.9948
O 6.8983 2.3422 2.0310
O 7.3683 5.4636 4.4557
O 7.3683 8.5893 4.4557
O 8.7806 2.3422 9.5221
```

Most intense lines, 10 to 90 degrees two-theta, sorted by position:
| d (Å) | Position (°2θ) | Rel. int. |
| --- | --- | --- |
| 3.407 | 26.2 | 100.0 |
| 3.336 | 26.7 | 79.0 |
| 3.247 | 27.5 | 74.9 |
| 3.142 | 28.4 | 8.6 |
| 2.482 | 36.2 | 26.7 |
| 2.342 | 38.4 | 19.8 |
| 1.972 | 46.0 | 31.7 |
| 1.917 | 47.4 | 26.8 |
| 1.879 | 48.5 | 15.4 |
| 1.703 | 53.8 | 13.3 |
| 1.560 | 59.2 | 8.9 |
| 1.489 | 62.3 | 10.3 |


# 8
This entry pairs a crystal structure of CsNb2O7 with its computed PXRD pattern. Radiation: a wavelength of 1.5418 Å. Structure: a structure optimized by DFT (PBE).
Neutral-atom scattering factors, no anomalous dispersion.

Atomic structure:
```
10
Lattice="3.4680 -5.5205 0.0000 3.4680 5.5205 0.0000 0.0000 0.0000 3.9600" Properties=species:S:1:pos:R:3 pbc="T T T"
Cs 0.0000 0.0000 0.0000
Nb 3.4680 1.9505 1.9800
Nb 3.4680 -1.9505 1.9800
O 1.3464 1.9339 1.9800
O 3.4680 2.0166 0.0000
O 1.3464 -1.9339 1.9800
O 3.4680 0.0000 1.9800
O 5.5896 1.9339 1.9800
O 3.4680 -2.0166 0.0000
O 5.5896 -1.9339 1.9800
```

Most intense lines, 10 to 90 degrees two-theta, sorted by position:
| d (Å) | Position (°2θ) | Rel. int. |
| --- | --- | --- |
| 3.468 | 25.7 | 63.2 |
| 3.283 | 27.2 | 91.4 |
| 3.251 | 27.4 | 100.0 |
| 3.218 | 27.7 | 61.3 |
| 2.359 | 38.2 | 26.9 |
| 1.980 | 45.8 | 22.9 |
| 1.965 | 46.2 | 28.4 |
| 1.958 | 46.4 | 35.5 |
| 1.858 | 49.0 | 24.9 |
| 1.691 | 54.2 | 29.2 |
| 1.481 | 62.7 | 16.8 |
| 1.392 | 67.3 | 21.7 |


Question: What is the formula in the seventh record?
Answer: Cs3NbO4